# 1
Starting from a cell relaxed with GGA+U, the powder diffraction line list of ZnCrSiO5 was computed for CuKα.
Intensities are scaled so that the largest is 100.

Top 10 peaks for 15° ≤ 2θ ≤ 90°, sorted by position:
d 4.909, rel. 23; d 4.835, rel. 13; d 3.243, rel. 100; d 3.122, rel. 83; d 2.499, rel. 43; d 2.469, rel. 30; d 2.243, rel. 15; d 2.007, rel. 20; d 1.769, rel. 23; d 1.663, rel. 13

Structural model:
```
ZnCrSiO5
1.0
5.3418 0.0000 0.0000
-0.7584 5.3658 0.0000
-2.1863 -2.4756 6.2621
Zn Cr Si O
2 2 2 10
Direct
0.2382 0.3679 0.2559
0.7618 0.6321 0.7441
0.5000 0.0000 0.0000
0.5000 0.0000 0.5000
0.1779 0.3691 0.7556
0.8221 0.6309 0.2444
0.1537 0.7410 0.3822
0.1831 0.6924 0.8488
0.2713 0.2518 0.9463
0.3584 0.3206 0.6029
0.4176 0.0691 0.2471
0.5824 0.9309 0.7529
0.6416 0.6794 0.3971
0.7287 0.7482 0.0537
0.8169 0.3076 0.1512
0.8463 0.2590 0.6178
```

# 2
Starting from a cell relaxed with GGA+U, the powder diffraction line list of SmCrO4 was computed for CuKα.
Intensities are scaled so that the largest is 100.

Top 10 peaks for 15° ≤ 2θ ≤ 90°, sorted by position:
d 4.820, rel. 31; d 3.665, rel. 100; d 2.728, rel. 33; d 2.716, rel. 35; d 2.613, rel. 12; d 2.283, rel. 14; d 1.883, rel. 28; d 1.871, rel. 29; d 1.833, rel. 15; d 1.466, rel. 12

Structural model:
```
SmCrO4
1.0
0.0000 5.1415 5.2269
3.1982 0.0000 5.2269
3.1982 5.1415 0.0000
Sm Cr O
2 2 8
Direct
0.1250 0.1250 0.1250
0.8750 0.8750 0.8750
0.3750 0.3750 0.3750
0.6250 0.6250 0.6250
0.1903 0.7286 0.3688
0.2122 0.3688 0.7286
0.2714 0.8097 0.7878
0.3688 0.2122 0.1903
0.6312 0.7878 0.8097
0.7286 0.1903 0.2122
0.7878 0.6312 0.2714
0.8097 0.2714 0.6312
```

# 3
Starting from a cell relaxed with GGA+U, the powder diffraction line list of Sm3CrO6 was computed for CuKα.
Intensities are scaled so that the largest is 100.

Top 10 peaks for 15° ≤ 2θ ≤ 90°, sorted by position:
d 4.425, rel. 19; d 3.014, rel. 100; d 2.979, rel. 35; d 2.942, rel. 17; d 2.822, rel. 19; d 2.037, rel. 23; d 2.005, rel. 21; d 1.825, rel. 17; d 1.664, rel. 14; d 1.581, rel. 15

Structural model:
```
Sm3CrO6
1.0
4.5678 -5.6978 0.0000
4.5678 5.6978 0.0000
0.0000 0.0000 5.6445
Sm Cr O
6 2 12
Direct
0.1030 0.8970 0.5000
0.1973 0.4129 0.5450
0.4129 0.1973 0.0450
0.5871 0.8027 0.5450
0.8027 0.5871 0.0450
0.8970 0.1030 0.0000
0.3177 0.6823 0.0754
0.6823 0.3177 0.5754
0.0888 0.6031 0.2478
0.1466 0.1730 0.2740
0.1730 0.1466 0.7740
0.2811 0.7189 0.7389
0.3969 0.9112 0.2478
0.4613 0.5387 0.2711
0.5387 0.4613 0.7711
0.6031 0.0888 0.7478
0.7189 0.2811 0.2389
0.8270 0.8534 0.2740
0.8534 0.8270 0.7740
0.9112 0.3969 0.7478
```